No. 1
Simulated powder X-ray diffraction pattern of BaU3O14 for Cu Kα X-rays, from a DFT-relaxed cell (PBE, the Materials Project).
Kinematic intensities with the Lorentz-polarization factor, no thermal factor.

Cell and atoms:
```
BaU3O14
1.0
6.9740 0.0000 0.0000
0.0000 7.3824 0.0000
-6.9332 0.0000 11.8298
Ba U O
2 6 28
Cartesian
0.0000 0.0657 0.0000 Ba
-3.4666 7.3167 5.9149 Ba
2.1749 3.5368 0.1372 U
-1.2916 3.8456 6.0521 U
-1.0498 3.5430 9.8317 U
2.4167 3.8393 3.9168 U
5.6723 3.6076 1.7865 U
2.2057 3.7747 7.7014 U
-5.2090 3.4891 9.8087 O
-1.7424 3.8933 3.8938 O
-4.8333 0.1464 9.6216 O
-1.3667 7.2360 3.7067 O
-1.5723 2.0074 6.0398 O
1.8943 5.3750 0.1249 O
-0.1968 0.2300 4.1099 O
-3.6634 7.1523 10.0247 O
0.8698 3.5739 2.3853 O
-2.5968 3.8085 8.3002 O
2.2612 1.6884 0.3122 O
-1.2054 5.6939 6.2271 O
0.7442 0.2492 3.2323 O
-2.7224 7.1332 9.1472 O
-2.6030 3.5900 11.3698 O
0.8636 3.7924 5.4549 O
-0.0327 3.6239 7.8839 O
3.4339 3.7584 1.9690 O
-1.0983 1.6809 9.7356 O
2.3683 5.7014 3.8207 O
2.7311 2.0258 4.1672 O
-0.7354 5.3566 10.0821 O
5.5312 1.7569 1.8639 O
2.0646 5.6255 7.7788 O
2.3359 1.9566 7.3486 O
5.8025 5.4257 1.4337 O
-0.0147 3.1796 11.7850 O
3.4519 4.2028 5.8701 O
```

Main lines, sorted by position (15 to 90 degrees two-theta):
2θ (°)  I/Imax
24.11  51
25.55  28
25.96  52
28.31  56
28.68  100
35.72  24
45.09  14
45.35  38



No. 2
Simulated powder X-ray diffraction pattern of Ba7U7O24 for Cu Kα X-rays, from a DFT-relaxed cell (PBE, the Materials Project).
Kinematic intensities with the Lorentz-polarization factor, no thermal factor.

Cell and atoms:
```
Ba7U7O24
1.0
6.2213 0.0000 0.0000
0.0022 10.6800 0.0000
0.0213 3.4791 10.1566
Ba U O
7 7 24
Cartesian
0.0000 0.0000 0.0000 Ba
0.0419 7.3209 4.7844 Ba
2.9394 9.2472 10.1549 Ba
3.0224 1.8624 4.8880 Ba
3.2196 8.8102 2.3485 Ba
6.1362 10.8273 7.8040 Ba
6.1535 3.9693 2.3177 Ba
3.0826 12.6930 8.7069 U
3.0733 1.9885 1.1417 U
3.0865 8.9881 6.3074 U
3.0905 5.4330 3.8994 U
6.1866 7.1937 8.7462 U
6.1855 3.7537 6.2848 U
6.1906 10.8545 3.7605 U
0.0311 8.6127 10.1242 O
1.4216 4.2389 4.7465 O
1.4806 8.5384 7.7033 O
1.4829 3.0301 7.6074 O
1.4835 1.3431 2.5881 O
1.5083 6.1561 10.0247 O
1.6260 11.6559 9.6609 O
1.6211 9.6578 4.7620 O
1.7346 6.5080 2.8457 O
3.0303 10.6815 0.2929 O
3.0457 7.0449 5.4615 O
3.1175 11.0377 7.0833 O
3.1079 3.9301 2.1333 O
4.4177 11.5950 9.7621 O
4.5467 1.2636 2.6572 O
4.5626 6.4517 2.9540 O
4.5984 8.5136 7.7889 O
4.6442 4.1490 4.8110 O
4.6464 9.6059 4.8395 O
4.7869 6.0787 10.0979 O
4.8034 2.9606 7.7195 O
6.1291 9.4744 2.3470 O
6.1651 5.7976 7.1541 O
6.2258 12.3005 5.3245 O
```

Main lines, sorted by position (15 to 90 degrees two-theta):
2θ (°)  I/Imax
20.18  18
28.71  100
28.87  99
41.02  36
41.46  16
50.81  21
50.98  34
51.20  14



No. 3
Simulated powder X-ray diffraction pattern of BaUO3 for Cu Kα X-rays, from a DFT-relaxed cell (PBE, the Materials Project).
Kinematic intensities with the Lorentz-polarization factor, no thermal factor.

Cell and atoms:
```
BaUO3
1.0
6.2674 0.0000 0.0000
0.0000 8.8189 0.0000
0.0000 0.0000 6.2921
Ba U O
4 4 12
Cartesian
0.1002 2.2047 0.0509 Ba
3.0335 6.6142 3.1970 Ba
3.2339 2.2047 3.0951 Ba
6.1672 6.6142 6.2412 Ba
0.0000 0.0000 3.1461 U
0.0000 4.4094 3.1461 U
3.1337 0.0000 0.0000 U
3.1337 4.4094 0.0000 U
0.0763 6.6142 2.6740 O
1.4583 4.7752 4.8220 O
1.4583 8.4531 4.8220 O
1.6755 0.3658 1.6760 O
1.6755 4.0437 1.6760 O
3.0574 2.2047 5.8201 O
3.2100 6.6142 0.4720 O
4.5920 4.7752 4.6161 O
4.5920 8.4531 4.6161 O
4.8092 0.3658 1.4701 O
4.8092 4.0437 1.4701 O
6.1912 2.2047 3.6181 O
```

Main lines, sorted by position (15 to 90 degrees two-theta):
2θ (°)  I/Imax
28.37  19
28.52  100
40.64  21
40.93  10
50.33  18
50.50  26
59.05  13
66.66  11



No. 4
Simulated powder X-ray diffraction pattern of BaUO4 for Cu Kα X-rays, from a DFT-relaxed cell (PBE, the Materials Project).
Kinematic intensities with the Lorentz-polarization factor, no thermal factor.

Cell and atoms:
```
BaUO4
1.0
5.8836 0.0000 0.0000
0.0000 8.2140 0.0000
0.0000 0.0000 8.2953
Ba U O
4 4 16
Cartesian
0.1004 1.5972 2.0738 Ba
0.1004 2.5098 6.2215 Ba
5.7831 5.7042 2.0738 Ba
5.7831 6.6168 6.2215 Ba
2.9418 0.0000 0.0000 U
2.9418 0.0000 4.1476 U
2.9418 4.1070 0.0000 U
2.9418 4.1070 4.1476 U
1.2058 4.7211 4.7209 O
1.2058 4.7211 7.7220 O
1.2058 7.5999 0.5733 O
1.2058 7.5999 3.5743 O
2.0915 2.0535 0.0000 O
2.0915 2.0535 4.1476 O
2.2584 4.3263 2.0738 O
2.2584 7.9947 6.2215 O
3.6251 0.2193 2.0738 O
3.6251 3.8877 6.2215 O
3.7921 6.1605 0.0000 O
3.7921 6.1605 4.1476 O
4.6777 0.6141 4.7209 O
4.6777 0.6141 7.7220 O
4.6777 3.4929 0.5733 O
4.6777 3.4929 3.5743 O
```

Main lines, sorted by position (15 to 90 degrees two-theta):
2θ (°)  I/Imax
26.29  100
26.47  84
30.38  30
30.63  53
43.68  59
51.55  17
51.77  28
69.88  19



No. 5
Simulated powder X-ray diffraction pattern of Ba2U2O7 for Cu Kα X-rays, from a DFT-relaxed cell (PBE, the Materials Project).
Kinematic intensities with the Lorentz-polarization factor, no thermal factor.

Cell and atoms:
```
Ba2U2O7
1.0
-4.1056 5.7063 4.1431
4.1056 -5.7063 4.1431
4.1056 5.7063 -4.1431
Ba U O
4 4 14
Cartesian
0.0000 0.0000 0.0000 Ba
-2.0528 2.8531 2.0715 Ba
0.0000 5.7063 0.0000 Ba
2.0528 2.8531 2.0715 Ba
2.0528 2.8531 -2.0715 U
2.0528 -2.8531 2.0715 U
4.1056 0.0000 0.0000 U
0.0000 0.0000 4.1431 U
2.4288 1.3542 -0.5716 O
5.7824 1.3542 -0.5717 O
4.1056 -2.8531 2.7936 O
4.1056 1.0712 1.7732 O
2.4288 4.3521 -0.5717 O
1.6768 -1.3542 3.5714 O
0.0000 1.0712 2.3699 O
4.1056 4.6350 1.7732 O
2.4288 7.0605 0.5717 O
1.6768 1.3542 4.7147 O
0.0000 4.6350 2.3699 O
0.0000 8.5594 1.3495 O
-1.6768 4.3521 4.7147 O
1.6768 4.3521 4.7147 O
```

Main lines, sorted by position (15 to 90 degrees two-theta):
2θ (°)  I/Imax
26.59  100
26.75  96
30.66  56
31.35  26
44.42  58
51.98  34
52.25  32
53.01  30



No. 6
Simulated powder X-ray diffraction pattern of Ba2UZnO6 for Cu Kα X-rays, from a DFT-relaxed cell (PBE, the Materials Project).
Kinematic intensities with the Lorentz-polarization factor, no thermal factor.

Cell and atoms:
```
Ba2UZnO6
1.0
0.0000 4.2500 4.2500
4.2500 0.0000 4.2500
4.2500 4.2500 0.0000
Ba U Zn O
2 1 1 6
Cartesian
2.1250 2.1250 2.1250 Ba
6.3750 6.3750 6.3750 Ba
0.0000 0.0000 0.0000 U
4.2500 4.2500 4.2500 Zn
4.2500 4.2500 2.0925 O
4.2500 2.0925 4.2500 O
6.4076 4.2500 4.2500 O
2.0925 4.2500 4.2500 O
4.2500 6.4076 4.2500 O
4.2500 4.2500 6.4076 O
```

Main lines, sorted by position (15 to 90 degrees two-theta):
2θ (°)  I/Imax
18.08  19
29.73  100
35.01  11
42.54  29
52.76  41
61.73  19
70.00  18
85.49  22



No. 7
Simulated powder X-ray diffraction pattern of Ba2ZrUO6 for Cu Kα X-rays, from a DFT-relaxed cell (PBE, the Materials Project).
Kinematic intensities with the Lorentz-polarization factor, no thermal factor.

Cell and atoms:
```
Ba2ZrUO6
1.0
0.0000 4.3496 4.3496
4.3496 0.0000 4.3496
4.3496 4.3496 0.0000
Ba Zr U O
2 1 1 6
Cartesian
2.1748 2.1748 2.1748 Ba
6.5244 6.5244 6.5244 Ba
0.0000 0.0000 0.0000 Zr
4.3496 4.3496 4.3496 U
4.3496 4.3496 2.1371 O
4.3496 2.1371 4.3496 O
6.5621 4.3496 4.3496 O
2.1371 4.3496 4.3496 O
4.3496 6.5621 4.3496 O
4.3496 4.3496 6.5621 O
```

Main lines, sorted by position (15 to 90 degrees two-theta):
2θ (°)  I/Imax
17.66  11
29.03  100
34.19  8
41.52  29
51.46  42
60.17  19
68.18  19
83.08  22



No. 8
Simulated powder X-ray diffraction pattern of Ba3Y2O6 for Cu Kα X-rays, from a DFT-relaxed cell (PBE, the Materials Project).
Kinematic intensities with the Lorentz-polarization factor, no thermal factor.

Cell and atoms:
```
Ba3Y2O6
1.0
12.5262 0.0000 0.0000
0.0000 18.1558 0.0000
0.0000 0.0000 3.5943
Ba Y O
12 8 24
Cartesian
1.3078 2.7993 0.0000 Ba
1.6782 10.0249 0.0000 Ba
1.8966 13.9302 0.0000 Ba
4.3665 4.8523 0.0000 Ba
4.5849 0.9470 0.0000 Ba
4.9553 11.8772 0.0000 Ba
7.5709 6.2785 0.0000 Ba
7.9413 17.2088 0.0000 Ba
8.1597 13.3035 0.0000 Ba
10.6296 4.2256 0.0000 Ba
10.8480 8.1309 0.0000 Ba
11.2184 15.3564 0.0000 Ba
1.4186 6.5614 1.7972 Y
1.6140 17.4147 1.7972 Y
4.6490 8.3369 1.7972 Y
4.8445 15.6393 1.7972 Y
7.6817 2.5165 1.7972 Y
7.8771 9.8189 1.7972 Y
10.9121 0.7410 1.7972 Y
11.1076 11.5944 1.7972 Y
0.0000 0.0000 0.0000 O
0.0000 9.0779 1.7972 O
0.1514 6.1543 0.0000 O
0.7083 15.3956 1.7972 O
2.4310 4.6859 1.7972 O
2.6147 1.2332 1.7972 O
3.0874 7.5712 0.0000 O
3.1756 16.6491 0.0000 O
3.6484 10.3111 1.7972 O
3.8321 13.7638 1.7972 O
5.5547 6.3177 1.7972 O
6.1116 15.2322 0.0000 O
6.2631 0.0000 1.7972 O
6.2631 9.0779 0.0000 O
6.4145 2.9236 0.0000 O
6.9714 11.8380 1.7972 O
8.6941 4.3920 1.7972 O
8.8778 7.8447 1.7972 O
9.3505 1.5067 0.0000 O
9.4387 10.5846 0.0000 O
9.9114 16.9226 1.7972 O
10.0952 13.4699 1.7972 O
11.8178 2.7601 1.7972 O
12.3747 12.0014 0.0000 O
```

Main lines, sorted by position (15 to 90 degrees two-theta):
2θ (°)  I/Imax
27.63  19
28.44  100
29.78  26
34.37  28
36.16  24
38.06  15
47.96  17
59.25  28